[1]
Calculated PXRD pattern
Compound: RbCrH8N2O8
Radiation: copper Kα
Structure: a cell relaxed with GGA+U

Principal peaks in the range 2θ from 10° to 80°, in order of rising 2θ:
2θ (°)  intensity
18.4  66
19.0  41
26.1  17
26.5  100
30.8  20
37.2  28
42.1  23
46.3  32

Structure:
```
RbCrH8N2O8
1.0
-3.418 3.418 4.677
3.418 -3.418 4.677
3.418 3.418 -4.677
Rb Cr H N O
1 1 8 2 8
Direct
0.000 0.000 0.000
0.500 0.500 0.000
0.065 0.721 0.409
0.279 0.688 0.344
0.312 0.656 0.591
0.344 0.935 0.656
0.656 0.312 0.591
0.688 0.279 0.344
0.721 0.065 0.409
0.935 0.344 0.656
0.250 0.750 0.500
0.750 0.250 0.500
0.213 0.499 0.000
0.296 0.701 0.000
0.299 0.299 0.595
0.499 0.213 0.000
0.501 0.501 0.714
0.701 0.296 0.000
0.704 0.704 0.405
0.787 0.787 0.286
```

---

[2]
Calculated PXRD pattern
Compound: Li4Co3O7
Radiation: copper Kα
Structure: a cell relaxed with GGA+U

Principal peaks in the range 2θ from 10° to 80°, in order of rising 2θ:
2θ (°)  intensity
18.5  100
36.1  14
36.3  13
36.5  12
43.6  27
44.1  26
44.3  26
48.0  9

Structure:
```
Li4Co3O7
1.0
5.857 0.000 0.000
1.535 6.330 0.000
2.862 2.641 6.577
Li Co O
8 6 14
Direct
0.000 0.000 0.000
0.070 0.134 0.286
0.204 0.414 0.869
0.356 0.708 0.430
0.500 0.000 0.000
0.644 0.292 0.570
0.796 0.586 0.131
0.930 0.866 0.714
0.136 0.288 0.574
0.286 0.569 0.140
0.421 0.862 0.721
0.579 0.138 0.279
0.714 0.431 0.860
0.864 0.712 0.426
0.034 0.565 0.625
0.141 0.711 0.924
0.157 0.829 0.226
0.252 0.021 0.503
0.317 0.159 0.758
0.388 0.293 0.075
0.425 0.418 0.360
0.575 0.582 0.640
0.612 0.707 0.925
0.683 0.841 0.242
0.748 0.979 0.497
0.843 0.171 0.774
0.859 0.289 0.076
0.966 0.435 0.375
```